The following is a theoretical powder diffraction line list of Y4MgBi4O12. It was derived from a DFT-relaxed cell (PBE, the Materials Project), using Cu Kα.
No peak broadening, texture or thermal motion is included.

Crystal structure
```
Y4MgBi4O12
1.0
5.772 0.000 0.000
0.607 5.792 0.000
0.146 0.281 10.794
Y Mg Bi O
4 1 4 12
direct
0.000 0.000 0.000
0.072 0.028 0.452
0.503 0.559 0.979
0.587 0.449 0.449
0.652 0.274 0.743
0.054 0.515 0.216
0.054 0.546 0.661
0.431 0.887 0.701
0.502 0.007 0.222
0.207 0.294 0.073
0.224 0.816 0.865
0.263 0.774 0.125
0.304 0.276 0.341
0.377 0.327 0.607
0.400 0.789 0.378
0.648 0.600 0.781
0.699 0.220 0.928
0.774 0.724 0.079
0.809 0.200 0.324
0.873 0.239 0.597
0.890 0.699 0.493
```

Largest 10 diffraction maxima, most intense first, 2θ = 10–80°:
hkl  Position (°2θ)  intensity
1 -1 2  28.47  1000
1 1 2  26.12  924
-1 1 2  28.19  899
1 1 -2  26.84  687
0 0 4  33.19  582
0 0 2  16.43  552
2 0 0  31.16  467
0 2 0  30.89  359
1 -1 0  22.92  332
1 0 -2  22.76  317



The following is a theoretical powder diffraction line list of YMg6BiO8. It was derived from a DFT-relaxed cell (PBE, the Materials Project), using Cu Kα.
No peak broadening, texture or thermal motion is included.

Crystal structure
```
YMg6BiO8
1.0
4.710 0.000 0.000
0.000 4.710 0.000
0.000 0.000 8.987
Y Mg Bi O
1 6 1 8
direct
0.000 0.000 0.000
0.000 0.000 0.500
0.000 0.500 0.274
0.000 0.500 0.726
0.500 0.000 0.274
0.500 0.000 0.726
0.500 0.500 0.500
0.500 0.500 0.000
0.000 0.000 0.261
0.000 0.000 0.739
0.000 0.500 0.000
0.000 0.500 0.500
0.500 0.000 0.000
0.500 0.000 0.500
0.500 0.500 0.280
0.500 0.500 0.720
```

Largest 10 diffraction maxima, most intense first, 2θ = 10–80°:
hkl  Position (°2θ)  intensity
2 0 0  38.22  1000
1 1 2  33.49  840
1 1 1  28.58  806
2 0 4  56.62  534
0 0 2  19.76  493
1 1 0  26.77  450
0 0 4  40.13  392
2 2 0  55.15  320
1 0 1  21.30  300
0 0 3  29.82  286



The following is a theoretical powder diffraction line list of Y4MgBi4O12. It was derived from a DFT-relaxed cell (PBE, the Materials Project), using Cu Kα.
No peak broadening, texture or thermal motion is included.

Crystal structure
```
Y4MgBi4O12
1.0
5.960 0.000 0.000
0.000 8.773 0.000
-0.269 0.000 6.394
Y Mg Bi O
4 1 4 12
direct
0.000 0.000 0.000
0.006 0.500 0.963
0.419 0.000 0.602
0.441 0.500 0.485
0.501 0.000 0.172
0.512 0.311 0.937
0.512 0.689 0.937
0.971 0.230 0.456
0.971 0.770 0.456
0.134 0.500 0.646
0.152 0.150 0.749
0.152 0.850 0.749
0.269 0.145 0.282
0.269 0.855 0.282
0.302 0.500 0.169
0.596 0.280 0.597
0.596 0.720 0.597
0.636 0.000 0.899
0.784 0.000 0.363
0.855 0.288 0.079
0.855 0.712 0.079
```

Largest 10 diffraction maxima, most intense first, 2θ = 10–80°:
hkl  Position (°2θ)  intensity
1 2 1  29.19  1000
1 2 -1  28.57  891
2 0 0  30.01  534
0 0 2  27.91  530
1 0 -1  19.94  376
3 2 1  53.16  302
0 3 1  33.71  263
2 0 2  42.35  249
1 3 0  34.16  244
1 0 1  20.81  234



Q: Which formula does entry 2 have?
A: YMg6BiO8



Q: Number 2 is which compound?
A: YMg6BiO8